Computed powder diffraction line list of Li11Mo12O24 for Cu Kα, from a GGA+U-relaxed structure.

Largest 10 diffraction maxima, low angle first, 2θ = 10–90°:
2θ (°)  I/Imax  index
17.9  100  1 1 -1
32.2  19  1 -1 3
33.0  20  0 2 2
33.1  20  2 -2 0
34.4  29  -1 1 3
36.2  9  2 2 -2
39.5  24  0 2 -4
40.8  22  1 3 1
41.0  22  -3 1 1
44.4  14  2 0 -4

Structural model:
```
Li11Mo12O24
1.0
6.902 0.000 0.000
-0.386 8.308 0.000
-1.011 -2.449 9.296
Li Mo O
11 12 24
Direct
0.000 0.000 0.000
0.000 0.500 0.500
0.158 0.183 0.321
0.194 0.664 0.864
0.334 0.839 0.168
0.345 0.343 0.698
0.500 0.000 0.500
0.655 0.657 0.302
0.666 0.161 0.832
0.806 0.336 0.136
0.842 0.817 0.679
0.076 0.843 0.419
0.090 0.332 0.916
0.250 0.993 0.752
0.251 0.507 0.247
0.416 0.666 0.581
0.419 0.171 0.082
0.581 0.829 0.918
0.584 0.334 0.419
0.749 0.493 0.753
0.750 0.007 0.248
0.910 0.668 0.084
0.924 0.157 0.581
0.036 0.395 0.710
0.036 0.916 0.217
0.123 0.755 0.610
0.134 0.261 0.120
0.191 0.581 0.047
0.210 0.076 0.552
0.295 0.426 0.445
0.295 0.922 0.955
0.357 0.755 0.382
0.371 0.231 0.875
0.461 0.588 0.778
0.462 0.093 0.284
0.538 0.907 0.716
0.539 0.412 0.222
0.629 0.769 0.125
0.643 0.245 0.618
0.705 0.078 0.045
0.705 0.574 0.555
0.790 0.924 0.448
0.809 0.419 0.953
0.866 0.739 0.880
0.877 0.245 0.390
0.964 0.084 0.783
0.964 0.605 0.290
```